Li4PO5: simulated X-ray powder pattern (Cu Kα (weighted mean of Kα1 and Kα2)), based on a PBE-relaxed structure.
Neutral-atom scattering factors, no anomalous dispersion.

Structure:
```
data_Li4PO5
_cell_length_a 6.1009
_cell_length_b 6.1009
_cell_length_c 4.7174
_cell_angle_alpha 90.00
_cell_angle_beta 90.00
_cell_angle_gamma 90.00
_space_group_name_H-M_alt 'I 4'
_space_group_IT_number 79
_space_group_name_Hall 'I 4'
loop_
_atom_site_label
_atom_site_type_symbol
_atom_site_fract_x
_atom_site_fract_y
_atom_site_fract_z
Li1 Li 0.0731 0.2953 0.0000
P1 P 0.0000 0.0000 0.4863
O1 O 0.0000 0.0000 0.1488
O2 O 0.0718 0.2547 0.5715
```

Top 10 peaks for 10 to 80 degrees two-theta, by angle:
h k l	2θ/deg	d/Å	Rel. int.
1 1 0	20.59	4.314	73
1 0 1	23.84	3.732	100
2 0 0	29.28	3.050	17
0 0 2	38.13	2.360	78
1 3 0	47.11	1.929	49
2 3 1	57.90	1.593	9
1 3 2	62.16	1.493	23
1 4 1	66.19	1.412	10
4 2 0	68.82	1.364	13
2 1 3	68.92	1.362	19

Li3PO4: simulated X-ray powder pattern (Cu Kα (weighted mean of Kα1 and Kα2)), based on a PBE-relaxed structure.
Neutral-atom scattering factors, no anomalous dispersion.

Structure:
```
data_Li3PO4
_cell_length_a 6.1701
_cell_length_b 5.2999
_cell_length_c 4.9199
_cell_angle_alpha 90.00
_cell_angle_beta 90.00
_cell_angle_gamma 90.00
_space_group_name_H-M_alt 'P m n 21'
_space_group_IT_number 31
_space_group_name_Hall 'P 2ac -2'
loop_
_atom_site_label
_atom_site_type_symbol
_atom_site_fract_x
_atom_site_fract_y
_atom_site_fract_z
Li1 Li 0.0000 0.1550 0.0000
Li2 Li 0.2474 0.3270 0.5014
P1 P 0.0000 0.8242 0.5087
O1 O 0.0000 0.1033 0.4076
O2 O 0.0000 0.8183 0.8249
O3 O 0.2073 0.6867 0.4029
```

Top 10 peaks for 10 to 80 degrees two-theta, by angle:
h k l	2θ/deg	d/Å	Rel. int.
0 1 0	16.73	5.300	27
1 1 0	22.11	4.020	96
1 0 1	23.12	3.847	100
0 1 1	24.69	3.606	57
2 1 0	33.61	2.666	61
0 2 0	33.83	2.650	33
0 0 2	36.53	2.460	51
2 1 1	38.40	2.344	37
2 3 0	60.38	1.533	27
2 1 3	66.99	1.397	25